[1]
Diffraction record for TlBPt3. The powder X-ray diffraction pattern is simulated, not measured: it uses a crystal structure in OQMD, relaxed with PBE and λ = 1.5418 Å (Cu Kα).
Intensities are scaled so that the largest is 100.

Peak list (12 most intense, 2θ from 10° to 90°, low angle first)
d (Å)	intensity	(hkl)
2.863	11	0 0 2
2.475	51	1 0 2
2.461	100	2 0 0
2.017	30	1 1 2
1.866	21	2 0 2
1.560	25	2 1 2
1.432	6	0 0 4
1.424	10	3 0 2
1.421	19	2 2 0
1.237	23	2 0 4
1.232	12	3 1 2
1.231	12	4 0 0

```
data_TlBPt3
_chemical_formula_sum 'Tl2 B2 Pt6'
_cell_length_a 5.6835
_cell_length_b 5.6835
_cell_length_c 5.7266
_cell_angle_alpha 90.00
_cell_angle_beta 90.00
_cell_angle_gamma 120.00
_symmetry_space_group_name_H-M 'P 6/m m m'
_symmetry_Int_Tables_number 191
_symmetry_space_group_name_Hall '-P 6 2'
loop_
_atom_site_label
_atom_site_fract_x
_atom_site_fract_y
_atom_site_fract_z
Tl1 0.0000 0.0000 0.0000
Tl2 0.0000 0.0000 0.5000
B1 0.3333 0.6667 0.0000
Pt1 0.0000 0.5000 0.2553
```

---

[2]
Diffraction record for TlNi3SnS2. The powder X-ray diffraction pattern is simulated, not measured: it uses a crystal structure in OQMD, relaxed with PBE and λ = 1.5418 Å (Cu Kα).
Intensities are scaled so that the largest is 100.

Peak list (12 most intense, 2θ from 10° to 90°, low angle first)
d (Å)	intensity	(hkl)
4.506	34	1 0 1
3.904	42	0 1 2
2.760	100	1 1 0
2.354	28	1 1 3
2.258	22	0 0 6
2.252	59	2 0 2
1.952	59	0 2 4
1.746	25	1 1 6
1.593	29	3 0 0
1.382	17	2 0 8
1.379	20	2 2 0
1.177	24	2 2 6

```
data_TlNi3SnS2
_chemical_formula_sum 'Tl3 Ni9 Sn3 S6'
_cell_length_a 5.5155
_cell_length_b 5.5155
_cell_length_c 13.5491
_cell_angle_alpha 90.00
_cell_angle_beta 90.00
_cell_angle_gamma 120.00
_symmetry_space_group_name_H-M 'R -3 m'
_symmetry_Int_Tables_number 166
_symmetry_space_group_name_Hall '-R 3 2"'
loop_
_atom_site_label
_atom_site_fract_x
_atom_site_fract_y
_atom_site_fract_z
Tl1 0.0000 0.0000 0.0000
Ni1 0.0000 0.5000 0.5000
Sn1 0.0000 0.0000 0.5000
S1 0.0000 0.0000 0.2769
```

---

[3]
Diffraction record for AcAgHg. The powder X-ray diffraction pattern is simulated, not measured: it uses a crystal structure in OQMD, relaxed with PBE and λ = 1.5418 Å (Cu Kα).
Intensities are scaled so that the largest is 100.

Peak list (12 most intense, 2θ from 10° to 90°, low angle first)
d (Å)	intensity	(hkl)
4.342	9	1 0 0
2.888	100	1 0 1
2.507	66	1 1 0
1.934	10	0 0 2
1.893	30	2 0 1
1.531	29	1 1 2
1.511	29	2 1 1
1.447	12	3 0 0
1.253	8	2 2 0
1.236	8	1 0 3
1.159	12	3 0 2
1.150	12	3 1 1

```
data_AcAgHg
_chemical_formula_sum 'Ac1 Ag1 Hg1'
_cell_length_a 5.0133
_cell_length_b 5.0133
_cell_length_c 3.8683
_cell_angle_alpha 90.00
_cell_angle_beta 90.00
_cell_angle_gamma 120.00
_symmetry_space_group_name_H-M 'P -6 m 2'
_symmetry_Int_Tables_number 187
_symmetry_space_group_name_Hall 'P -6 2'
loop_
_atom_site_label
_atom_site_fract_x
_atom_site_fract_y
_atom_site_fract_z
Ac1 0.0000 0.0000 0.0000
Ag1 0.3333 0.6667 0.5000
Hg1 0.6667 0.3333 0.5000
```

---

[4]
Diffraction record for CoH. The powder X-ray diffraction pattern is simulated, not measured: it uses a crystal structure in OQMD, relaxed with PBE and λ = 1.5418 Å (Cu Kα).
Intensities are scaled so that the largest is 100.

Peak list (8 most intense, 2θ from 10° to 90°, low angle first)
d (Å)	intensity	(hkl)
2.131	34	0 0 3
2.124	100	1 0 1
1.841	67	0 1 2
1.303	19	1 0 4
1.300	19	1 1 0
1.112	11	0 1 5
1.110	22	1 1 3
1.109	11	0 2 1

```
data_CoH
_chemical_formula_sum 'Co3 H3'
_cell_length_a 2.5997
_cell_length_b 2.5997
_cell_length_c 6.3924
_cell_angle_alpha 90.00
_cell_angle_beta 90.00
_cell_angle_gamma 120.00
_symmetry_space_group_name_H-M 'R -3 m'
_symmetry_Int_Tables_number 166
_symmetry_space_group_name_Hall '-R 3 2"'
loop_
_atom_site_label
_atom_site_fract_x
_atom_site_fract_y
_atom_site_fract_z
Co1 0.0000 0.0000 0.0000
H1 0.0000 0.0000 0.5000
```

---

[5]
Diffraction record for Zn28Hg. The powder X-ray diffraction pattern is simulated, not measured: it uses a crystal structure in OQMD, relaxed with PBE and λ = 1.5418 Å (Cu Kα).
Intensities are scaled so that the largest is 100.

Peak list (12 most intense, 2θ from 10° to 90°, low angle first)
d (Å)	intensity	(hkl)
6.786	5	1 1 0
2.565	13	3 2 1
2.399	8	4 0 0
2.262	100	4 1 1
2.046	29	3 3 2
1.959	14	4 2 2
1.882	10	4 3 1
1.357	15	5 5 0
1.306	20	7 2 1
1.219	7	6 5 1
1.131	5	8 2 2
1.116	10	7 4 3

```
data_Zn28Hg
_chemical_formula_sum 'Zn56 Hg2'
_cell_length_a 9.597
_cell_length_b 9.597
_cell_length_c 9.597
_cell_angle_alpha 90.00
_cell_angle_beta 90.00
_cell_angle_gamma 90.00
_symmetry_space_group_name_H-M 'I -4 3 m'
_symmetry_Int_Tables_number 217
_symmetry_space_group_name_Hall 'I -4 2 3'
loop_
_atom_site_label
_atom_site_fract_x
_atom_site_fract_y
_atom_site_fract_z
Zn1 0.053 0.366 0.634
Zn2 0.097 0.097 0.712
Zn3 0.178 0.178 0.178
Hg1 0.000 0.000 0.000
```

---

[6]
Diffraction record for Lu2ScCu4Si2Ge2. The powder X-ray diffraction pattern is simulated, not measured: it uses a crystal structure in OQMD, relaxed with PBE and λ = 1.5418 Å (Cu Kα).
Intensities are scaled so that the largest is 100.

Peak list (12 most intense, 2θ from 10° to 90°, low angle first)
d (Å)	intensity	(hkl)
5.847	50	0 1 1
3.444	38	1 1 0
2.498	21	0 1 5
2.491	100	1 2 1
2.414	87	1 1 4
2.341	17	0 2 4
2.254	48	0 0 6
2.210	31	1 2 3
2.033	40	2 0 0
1.949	36	0 3 3
1.407	24	2 3 3
1.266	23	1 3 8

```
data_Lu2ScCu4Si2Ge2
_chemical_formula_sum 'Lu4 Sc2 Cu8 Si4 Ge4'
_cell_length_a 4.066
_cell_length_b 6.483
_cell_length_c 13.537
_cell_angle_alpha 90.00
_cell_angle_beta 90.00
_cell_angle_gamma 90.00
_symmetry_space_group_name_H-M 'I m m m'
_symmetry_Int_Tables_number 71
_symmetry_space_group_name_Hall '-I 2 2'
loop_
_atom_site_label
_atom_site_fract_x
_atom_site_fract_y
_atom_site_fract_z
Lu1 0.000 0.000 0.129
Sc1 0.000 0.500 0.000
Cu1 0.000 0.193 0.325
Si1 0.000 0.500 0.214
Ge1 0.000 0.300 0.500
```

---

[7]
Diffraction record for Cu6Hg3Sb4S12. The powder X-ray diffraction pattern is simulated, not measured: it uses a crystal structure in OQMD, relaxed with PBE and λ = 1.5418 Å (Cu Kα).
Intensities are scaled so that the largest is 100.

Peak list (12 most intense, 2θ from 10° to 90°, low angle first)
d (Å)	intensity	(hkl)
7.063	5	1 1 0
5.153	5	0 2 1
3.195	100	0 0 3
2.767	26	4 -1 2
1.959	25	5 2 0
1.954	26	1 3 4
1.669	29	5 2 3
1.666	10	4 -1 5
1.599	5	2 6 2
1.383	7	8 -2 4
1.271	7	6 5 1
1.130	7	6 5 4

```
data_Cu6Hg3Sb4S12
_chemical_formula_sum 'Cu18 Hg9 Sb12 S36'
_cell_length_a 14.1253
_cell_length_b 14.1253
_cell_length_c 9.5623
_cell_angle_alpha 90.00
_cell_angle_beta 90.00
_cell_angle_gamma 120.00
_symmetry_space_group_name_H-M 'R 3'
_symmetry_Int_Tables_number 146
_symmetry_space_group_name_Hall 'R 3'
loop_
_atom_site_label
_atom_site_fract_x
_atom_site_fract_y
_atom_site_fract_z
Cu1 0.0301 0.4391 0.0000
Cu2 0.0509 0.8931 0.6724
Hg1 0.1075 0.7458 0.0042
Sb1 0.0000 0.0000 0.3041
Sb2 0.1638 0.0483 0.9971
S1 0.0270 0.4226 0.7596
S2 0.0621 0.8861 0.4301
S3 0.1045 0.7637 0.7296
S4 0.1893 0.0610 0.7399
```

---

[8]
Diffraction record for Tl2MoOs. The powder X-ray diffraction pattern is simulated, not measured: it uses a crystal structure in OQMD, relaxed with PBE and λ = 1.5418 Å (Cu Kα).
Intensities are scaled so that the largest is 100.

Peak list (12 most intense, 2θ from 10° to 90°, low angle first)
d (Å)	intensity	(hkl)
3.885	5	1 1 1
3.365	2	2 0 0
2.379	100	2 2 0
2.029	3	3 1 1
1.943	1	2 2 2
1.682	18	4 0 0
1.544	1	3 3 1
1.505	1	4 2 0
1.374	36	4 2 2
1.295	1	5 1 1
1.190	11	4 4 0
1.138	1	5 3 1

```
data_Tl2MoOs
_chemical_formula_sum 'Tl8 Mo4 Os4'
_cell_length_a 6.730
_cell_length_b 6.730
_cell_length_c 6.730
_cell_angle_alpha 90.00
_cell_angle_beta 90.00
_cell_angle_gamma 90.00
_symmetry_space_group_name_H-M 'F -4 3 m'
_symmetry_Int_Tables_number 216
_symmetry_space_group_name_Hall 'F -4 2 3'
loop_
_atom_site_label
_atom_site_fract_x
_atom_site_fract_y
_atom_site_fract_z
Tl1 0.000 0.000 0.000
Tl2 0.250 0.250 0.250
Mo1 0.250 0.250 0.750
Os1 0.000 0.000 0.500
```

---

[9]
Diffraction record for K9Sm3Si12O32F2. The powder X-ray diffraction pattern is simulated, not measured: it uses a crystal structure in OQMD, relaxed with PBE and λ = 1.5418 Å (Cu Kα).
Intensities are scaled so that the largest is 100.

Peak list (12 most intense, 2θ from 10° to 90°, low angle first)
d (Å)	intensity	(hkl)
5.564	48	0 2 0
5.383	39	1 -1 0
4.919	53	0 2 -1
3.318	100	1 0 3
3.237	78	2 0 -1
3.184	37	0 3 2
3.130	59	2 2 0
3.084	39	2 -1 0
3.019	49	1 2 3
2.911	56	1 2 -3
2.730	46	-2 1 2
2.680	38	0 4 -1

```
data_K9Sm3Si12O32F2
_chemical_formula_sum 'K9 Sm3 Si12 O32 F2'
_cell_length_a 6.846
_cell_length_b 11.325
_cell_length_c 11.445
_cell_angle_alpha 87.31
_cell_angle_beta 89.63
_cell_angle_gamma 80.25
_symmetry_space_group_name_H-M 'P -1'
_symmetry_Int_Tables_number 2
loop_
_symmetry_equiv_pos_as_xyz
'x,y,z'
'-x,-y,-z'
loop_
_atom_site_label
_atom_site_fract_x
_atom_site_fract_y
_atom_site_fract_z
K1 0.000 0.000 0.000
K2 0.238 0.382 0.980
K3 0.334 0.192 0.216
K4 0.341 0.147 0.791
K5 0.488 0.671 0.484
Sm1 0.014 0.515 0.665
Sm2 0.500 0.000 0.500
Si1 0.051 0.232 0.513
Si2 0.156 0.914 0.302
Si3 0.166 0.859 0.690
Si4 0.186 0.698 0.164
Si5 0.217 0.663 0.886
Si6 0.481 0.482 0.260
O1 0.006 0.788 0.627
O2 0.010 0.345 0.786
O3 0.028 0.376 0.519
O4 0.039 0.599 0.848
O5 0.052 0.994 0.724
O6 0.125 0.816 0.408
O7 0.192 0.841 0.179
O8 0.216 0.682 0.025
O9 0.219 0.795 0.821
O10 0.268 0.163 0.549
O11 0.312 0.412 0.311
O12 0.342 0.976 0.327
O13 0.343 0.520 0.648
O14 0.362 0.864 0.617
O15 0.394 0.626 0.226
O16 0.437 0.578 0.866
F1 0.252 0.154 0.005
```

---

[10]
Diffraction record for Li2Mg3InAu2. The powder X-ray diffraction pattern is simulated, not measured: it uses a crystal structure in OQMD, relaxed with PBE and λ = 1.5418 Å (Cu Kα).
Intensities are scaled so that the largest is 100.

Peak list (12 most intense, 2θ from 10° to 90°, low angle first)
d (Å)	intensity	(hkl)
3.804	100	1 0 1
3.284	10	1 1 0
2.333	64	1 1 2
2.322	32	2 0 0
1.996	17	1 0 3
1.982	35	2 1 1
1.642	11	2 2 0
1.514	14	2 1 3
1.508	7	3 0 1
1.349	11	2 0 4
1.343	22	3 1 2
1.264	8	3 2 1

```
data_Li2Mg3InAu2
_chemical_formula_sum 'Li2 Mg3 In1 Au2'
_cell_length_a 4.644
_cell_length_b 4.644
_cell_length_c 6.633
_cell_angle_alpha 90.00
_cell_angle_beta 90.00
_cell_angle_gamma 90.00
_symmetry_space_group_name_H-M 'P -4 m 2'
_symmetry_Int_Tables_number 115
loop_
_symmetry_equiv_pos_as_xyz
'x,y,z'
'y,-x,-z'
'-x,-y,z'
'-y,x,-z'
'-x,y,z'
'-y,-x,-z'
'x,-y,z'
'y,x,-z'
loop_
_atom_site_label
_atom_site_fract_x
_atom_site_fract_y
_atom_site_fract_z
Li1 0.000 0.500 0.250
Mg1 0.000 0.000 0.000
Mg2 0.000 0.000 0.500
Mg3 0.500 0.500 0.500
In1 0.500 0.500 0.000
Au1 0.000 0.500 0.739
```

---

[11]
Diffraction record for Gd2DyHoTl2. The powder X-ray diffraction pattern is simulated, not measured: it uses a crystal structure in OQMD, relaxed with PBE and λ = 1.5418 Å (Cu Kα).
Intensities are scaled so that the largest is 100.

Peak list (12 most intense, 2θ from 10° to 90°, low angle first)
d (Å)	intensity	(hkl)
3.367	9	0 0 2
2.734	87	1 0 2
2.704	100	1 1 0
2.109	16	1 1 2
1.923	32	2 0 2
1.684	8	0 0 4
1.567	33	2 1 2
1.561	19	3 0 0
1.429	29	1 1 4
1.352	12	2 2 0
1.212	14	3 1 2
1.145	14	3 0 4

```
data_Gd2DyHoTl2
_chemical_formula_sum 'Gd2 Dy1 Ho1 Tl2'
_cell_length_a 5.4088
_cell_length_b 5.4088
_cell_length_c 6.7347
_cell_angle_alpha 90.00
_cell_angle_beta 90.00
_cell_angle_gamma 120.00
_symmetry_space_group_name_H-M 'P -6 m 2'
_symmetry_Int_Tables_number 187
_symmetry_space_group_name_Hall 'P -6 2'
loop_
_atom_site_label
_atom_site_fract_x
_atom_site_fract_y
_atom_site_fract_z
Gd1 0.0000 0.0000 0.2505
Dy1 0.6667 0.3333 0.0000
Ho1 0.3333 0.6667 0.5000
Tl1 0.3333 0.6667 0.0000
Tl2 0.6667 0.3333 0.5000
```

---

[12]
Diffraction record for Ga3Ag2As3. The powder X-ray diffraction pattern is simulated, not measured: it uses a crystal structure in OQMD, relaxed with PBE and λ = 1.5418 Å (Cu Kα).
Intensities are scaled so that the largest is 100.

Peak list (12 most intense, 2θ from 10° to 90°, low angle first)
d (Å)	intensity	(hkl)
2.552	52	1 0 -4
2.469	42	1 0 4
2.432	100	1 1 1
2.399	34	0 1 3
2.320	37	1 1 -2
2.260	18	2 0 0
2.207	24	2 0 1
2.099	24	1 0 5
1.941	25	1 1 -4
1.878	23	0 1 5
1.494	18	0 2 0
1.342	19	0 0 9

```
data_Ga3Ag2As3
_chemical_formula_sum 'Ga3 Ag2 As3'
_cell_length_a 4.523
_cell_length_b 2.988
_cell_length_c 12.077
_cell_angle_alpha 90.00
_cell_angle_beta 92.05
_cell_angle_gamma 90.00
_symmetry_space_group_name_H-M 'P 1 2/m 1'
_symmetry_Int_Tables_number 10
loop_
_symmetry_equiv_pos_as_xyz
'x,y,z'
'-x,-y,-z'
'-x,y,-z'
'x,-y,z'
loop_
_atom_site_label
_atom_site_fract_x
_atom_site_fract_y
_atom_site_fract_z
Ga1 0.000 0.000 0.000
Ga2 0.283 0.500 0.205
Ag1 0.248 0.500 0.431
As1 0.259 0.000 0.674
As2 0.500 0.500 0.000
```